# LiScF4
Simulated PXRD pattern, CuKα. Input: a cell relaxed with PBE.
Intensities are scaled so that the largest is 100.

Peak list (12 most intense, 2θ from 10° to 80°, low angle first)
Position (°2θ)	I/Imax
19.60	100.0
30.55	60.1
40.87	44.5
43.65	36.9
48.18	13.3
48.36	27.0
50.91	34.2
51.08	25.0
60.39	11.7
60.70	25.6
61.41	15.8
67.39	7.3

Atomic structure:
a b c (Å): 6.221 6.221 6.221
angles (deg): 132.03 132.03 70.18
Positions (direct):
Li  0.375  0.125  0.250
Li  0.625  0.875  0.750
Sc  0.125  0.375  0.750
Sc  0.875  0.625  0.250
F  0.116  0.755  0.782
F  0.166  0.384  0.139
F  0.255  0.973  0.639
F  0.473  0.334  0.718
F  0.527  0.666  0.282
F  0.745  0.027  0.361
F  0.834  0.616  0.861
F  0.884  0.245  0.218